No. 1
# Ca5Pa3Sb8
Theoretical powder diffraction line list, Cu Ka. Input: the GGA-PBE geometry in Alexandria.
Neutral-atom scattering factors, no anomalous dispersion.

Principal peaks in the range 2θ = 15–90°, by angle:
2θ = 23.27°, rel. 15; 2θ = 28.21°, rel. 100; 2θ = 40.22°, rel. 39; 2θ = 40.41°, rel. 37; 2θ = 42.17°, rel. 9; 2θ = 49.85°, rel. 20; 2θ = 58.33°, rel. 12; 2θ = 65.89°, rel. 17; 2θ = 66.17°, rel. 16; 2θ = 73.23°, rel. 12

Crystal structure
```
Ca5Pa3Sb8
1.0
4.485 2.589 7.272
-4.485 2.589 7.272
0.000 -5.178 7.272
Ca Pa Sb
5 3 8
Direct
0.000 0.000 0.000
0.000 0.500 0.500
0.500 0.000 0.500
0.500 0.500 0.000
0.500 0.500 0.500
0.000 0.000 0.500
0.000 0.500 0.000
0.500 0.000 0.000
0.235 0.750 0.750
0.245 0.245 0.245
0.250 0.250 0.765
0.250 0.765 0.250
0.750 0.235 0.750
0.750 0.750 0.235
0.755 0.755 0.755
0.765 0.250 0.250
```

=====

No. 2
# Ca3Tb2PaSb6
Theoretical powder diffraction line list, Cu Ka. Input: the GGA-PBE geometry in Alexandria.
Neutral-atom scattering factors, no anomalous dispersion.

Principal peaks in the range 2θ = 15–90°, by angle:
2θ = 23.38°, rel. 12; 2θ = 28.26°, rel. 100; 2θ = 36.93°, rel. 8; 2θ = 40.36°, rel. 50; 2θ = 40.45°, rel. 25; 2θ = 50.07°, rel. 20; 2θ = 58.45°, rel. 12; 2θ = 66.09°, rel. 17; 2θ = 66.24°, rel. 17; 2θ = 73.49°, rel. 17

Crystal structure
```
Ca3Tb2PaSb6
1.0
3.862 -6.693 0.000
3.862 6.693 0.000
-2.577 0.000 7.312
Ca Tb Pa Sb
3 2 1 6
Direct
0.000 0.000 0.000
0.331 0.669 0.000
0.669 0.331 0.000
0.166 0.834 0.500
0.834 0.166 0.500
0.500 0.500 0.500
0.094 0.421 0.263
0.252 0.252 0.738
0.421 0.094 0.263
0.579 0.906 0.737
0.748 0.748 0.262
0.906 0.579 0.737
```

=====

No. 3
# CaPaSe4
Theoretical powder diffraction line list, Cu Ka. Input: the GGA-PBE geometry in Alexandria.
Neutral-atom scattering factors, no anomalous dispersion.

Principal peaks in the range 2θ = 15–90°, by angle:
2θ = 19.14°, rel. 100; 2θ = 22.50°, rel. 61; 2θ = 30.53°, rel. 73; 2θ = 35.61°, rel. 99; 2θ = 36.96°, rel. 89; 2θ = 38.85°, rel. 80; 2θ = 40.74°, rel. 35; 2θ = 63.55°, rel. 33; 2θ = 67.38°, rel. 30; 2θ = 69.95°, rel. 27

Crystal structure
```
CaPaSe4
1.0
6.360 0.000 0.000
0.000 6.774 0.000
0.000 0.000 7.552
Ca Pa Se
2 2 8
Direct
0.000 0.000 0.000
0.500 0.500 0.000
0.000 0.000 0.500
0.500 0.500 0.500
0.248 0.251 0.270
0.248 0.251 0.730
0.252 0.751 0.270
0.252 0.751 0.730
0.748 0.249 0.270
0.748 0.249 0.730
0.752 0.749 0.270
0.752 0.749 0.730
```

=====

No. 4
# CaPa3Se6
Theoretical powder diffraction line list, Cu Ka. Input: the GGA-PBE geometry in Alexandria.
Neutral-atom scattering factors, no anomalous dispersion.

Principal peaks in the range 2θ = 15–90°, by angle:
2θ = 21.27°, rel. 70; 2θ = 23.29°, rel. 29; 2θ = 24.18°, rel. 71; 2θ = 34.87°, rel. 25; 2θ = 37.09°, rel. 100; 2θ = 41.76°, rel. 21; 2θ = 42.09°, rel. 20; 2θ = 42.88°, rel. 32; 2θ = 47.62°, rel. 17; 2θ = 73.62°, rel. 15

Crystal structure
```
CaPa3Se6
1.0
5.146 -7.151 0.000
5.146 7.151 0.000
0.000 0.000 4.294
Ca Pa Se
1 3 6
Direct
0.000 0.000 0.000
0.000 0.500 0.500
0.500 0.000 0.500
0.500 0.500 0.000
0.152 0.848 0.500
0.169 0.417 0.000
0.417 0.169 0.000
0.583 0.831 0.000
0.831 0.583 0.000
0.848 0.152 0.500
```

=====

No. 5
# CaTmPa
Theoretical powder diffraction line list, Cu Ka. Input: the GGA-PBE geometry in Alexandria.
Neutral-atom scattering factors, no anomalous dispersion.

Principal peaks in the range 2θ = 15–90°, by angle:
2θ = 31.06°, rel. 100; 2θ = 34.73°, rel. 53; 2θ = 36.52°, rel. 20; 2θ = 36.69°, rel. 20; 2θ = 40.84°, rel. 11; 2θ = 55.94°, rel. 9; 2θ = 56.05°, rel. 9; 2θ = 64.67°, rel. 10; 2θ = 64.83°, rel. 10; 2θ = 66.15°, rel. 9

Crystal structure
```
CaTmPa
1.0
3.467 0.000 0.000
-0.015 3.476 0.000
-0.005 -0.020 15.466
Ca Tm Pa
2 2 2
Direct
0.250 0.249 0.100
0.750 0.751 0.900
0.250 0.251 0.715
0.750 0.749 0.285
0.250 0.250 0.432
0.750 0.750 0.568
```

=====

No. 6
# CaYPa
Theoretical powder diffraction line list, Cu Ka. Input: the GGA-PBE geometry in Alexandria.
Neutral-atom scattering factors, no anomalous dispersion.

Principal peaks in the range 2θ = 15–90°, by angle:
2θ = 17.90°, rel. 71; 2θ = 31.26°, rel. 100; 2θ = 31.89°, rel. 80; 2θ = 33.98°, rel. 21; 2θ = 43.87°, rel. 32; 2θ = 45.26°, rel. 31; 2θ = 54.85°, rel. 17; 2θ = 55.63°, rel. 20; 2θ = 56.03°, rel. 33; 2θ = 64.49°, rel. 21

Crystal structure
```
CaYPa
1.0
5.723 0.000 0.000
-2.862 4.956 0.000
0.000 0.000 6.809
Ca Y Pa
2 2 2
Direct
0.333 0.667 0.000
0.667 0.333 0.000
0.333 0.667 0.500
0.667 0.333 0.500
0.000 0.000 0.309
0.000 0.000 0.691
```